For Pm4Nd2DyHo, a DFT-relaxed cell (GGA-PBE, Alexandria) gives the computed powder X-ray diffraction pattern in this record (a wavelength of 1.5418 Å).

Structure:
Lattice parameters (Å, degrees): 13.7967 13.3081 6.9005 90.00 119.72 90.00
Space group C2/c (No. 15)
Unique sites:
Pm1 0.0118 0.2460 0.0126 x8
Pm2 0.2473 0.0021 0.4528 x8
Nd1 0.0000 0.5000 0.0000 x4
Nd2 0.2500 0.2500 0.0000 x4
Dy1 0.2500 0.2500 0.5000 x4
Ho1 0.0000 0.0000 0.0000 x4

Principal peaks in the range 15 to 90 degrees two-theta, in order of rising 2θ:
h k l	Position (°2θ)	I (rel.)
0 4 0	26.80	69.4
4 0 0	29.82	100.0
4 0 -2	29.95	48.7
4 4 0	40.52	87.2
4 4 -2	40.62	42.6
8 0 -2	53.10	17.4
4 4 2	60.23	12.5
8 4 -2	60.46	23.5
8 0 0	61.95	10.7
4 8 0	64.04	33.6
8 4 0	68.72	15.7
8 8 -2	80.16	10.5

=====

For Sm6CoTe4, a DFT-relaxed cell (GGA-PBE, Alexandria) gives the computed powder X-ray diffraction pattern in this record (a wavelength of 1.5418 Å).

Structure:
Lattice parameters (Å, degrees): 12.1369 12.1369 15.3042 90.00 90.00 120.00
Space group R-3c (No. 167, hexagonal axes)
Unique sites:
Sm1 0.0316 0.1914 0.3992 x36
Co1 0.0000 0.0000 0.0000 x6
Te1 0.0000 0.0000 0.2500 x6
Te2 0.0000 0.3780 0.2500 x18

Principal peaks in the range 15 to 90 degrees two-theta, in order of rising 2θ:
h k l	Position (°2θ)	I (rel.)
1 0 4	24.76	14.3
1 2 2	25.26	28.1
1 3 1	31.23	51.7
2 1 4	32.49	45.7
2 2 3	34.39	100.0
0 0 6	35.18	26.0
2 3 2	39.17	9.3
3 2 4	44.41	15.8
5 1 1	48.59	13.0
6 0 0	52.26	30.6
5 3 2	63.10	16.0
3 5 4	66.95	15.5

=====

For La2Cd16Pb, a DFT-relaxed cell (GGA-PBE, Alexandria) gives the computed powder X-ray diffraction pattern in this record (a wavelength of 1.5418 Å).

Structure:
Lattice parameters (Å, degrees): 10.3431 10.3431 14.8113 90.00 90.00 120.00
Space group R3m (No. 160, hexagonal axes)
Unique sites:
La1 0.0000 0.0000 0.0000 x3
La2 0.0000 0.0000 0.3324 x3
Cd1 0.0000 0.0000 0.5633 x3
Cd2 0.0011 0.3090 0.6678 x18
Cd3 0.0154 0.5077 0.1665 x9
Cd4 0.0192 0.5096 0.8211 x9
Cd5 0.1731 0.3461 0.8493 x9
Pb1 0.0000 0.0000 0.7686 x3

Principal peaks in the range 15 to 90 degrees two-theta, in order of rising 2θ:
h k l	Position (°2θ)	I (rel.)
3 0 0	29.93	45.1
0 2 4	31.35	25.2
2 2 0	34.69	63.6
0 3 3	35.12	100.0
2 1 4	35.94	14.7
0 0 6	36.38	56.0
2 2 3	39.33	70.7
1 1 6	40.49	24.1
3 3 3	56.55	17.6
6 0 0	62.18	28.3
0 3 9	64.67	26.6
0 6 6	74.24	15.0

=====

For Rb4Cd5In, a DFT-relaxed cell (GGA-PBE, Alexandria) gives the computed powder X-ray diffraction pattern in this record (a wavelength of 1.5418 Å).

Structure:
Lattice parameters (Å, degrees): 11.4039 11.4039 6.6407 90.00 90.00 90.00
Space group I4mm (No. 107)
Unique sites:
Rb1 0.0000 0.2967 0.0000 x8
Cd1 0.0000 0.0000 0.2176 x2
Cd2 0.1527 0.1527 0.4959 x8
In1 0.0000 0.0000 0.7744 x2

Principal peaks in the range 15 to 90 degrees two-theta, in order of rising 2θ:
h k l	Position (°2θ)	I (rel.)
0 0 2	26.85	14.1
3 0 1	27.03	100.0
2 0 2	31.17	13.1
3 3 0	33.33	39.5
2 2 2	35.01	16.4
4 2 0	35.16	16.8
3 1 2	36.79	21.2
4 4 0	44.95	13.3
3 0 3	47.53	13.1
6 0 0	47.86	11.3
5 1 2	49.11	10.4
6 3 1	55.81	17.0

=====

- What is the formula in the third record?
  La2Cd16Pb

=====

Please write out number 4 again, unchanged.
For Rb4Cd5In, a DFT-relaxed cell (GGA-PBE, Alexandria) gives the computed powder X-ray diffraction pattern in this record (a wavelength of 1.5418 Å).

Structure:
Lattice parameters (Å, degrees): 11.4039 11.4039 6.6407 90.00 90.00 90.00
Space group I4mm (No. 107)
Unique sites:
Rb1 0.0000 0.2967 0.0000 x8
Cd1 0.0000 0.0000 0.2176 x2
Cd2 0.1527 0.1527 0.4959 x8
In1 0.0000 0.0000 0.7744 x2

Principal peaks in the range 15 to 90 degrees two-theta, in order of rising 2θ:
h k l	Position (°2θ)	I (rel.)
0 0 2	26.85	14.1
3 0 1	27.03	100.0
2 0 2	31.17	13.1
3 3 0	33.33	39.5
2 2 2	35.01	16.4
4 2 0	35.16	16.8
3 1 2	36.79	21.2
4 4 0	44.95	13.3
3 0 3	47.53	13.1
6 0 0	47.86	11.3
5 1 2	49.11	10.4
6 3 1	55.81	17.0